Li14Co13O28: calculated X-ray powder pattern (Cu Kα (λ = 1.5418 Å)), based on a structure optimized by DFT (GGA+U).
Lines closer than 0.1° are merged.

```
Li14Co13O28
1.0
7.4992 0.0000 0.0000
-2.1452 7.7686 0.0000
-2.1456 -2.5552 7.8750
Li Co O
14 13 28
direct
0.0000 0.0000 0.0000
0.0673 0.2235 0.7918
0.1427 0.4291 0.5682
0.2070 0.6395 0.3459
0.2761 0.8454 0.1391
0.3551 0.0706 0.9274
0.4223 0.2832 0.7112
0.5000 0.5000 0.5000
0.5777 0.7168 0.2888
0.6449 0.9294 0.0726
0.7239 0.1546 0.8609
0.7930 0.3605 0.6541
0.8573 0.5709 0.4318
0.9327 0.7765 0.2082
0.0709 0.7106 0.7884
0.1424 0.9280 0.5712
0.2140 0.1435 0.3562
0.2800 0.3608 0.1397
0.3538 0.5709 0.9295
0.4283 0.7862 0.7154
0.5000 0.0000 0.5000
0.5717 0.2138 0.2846
0.6462 0.4291 0.0705
0.7200 0.6392 0.8603
0.7860 0.8565 0.6438
0.8576 0.0720 0.4288
0.9291 0.2894 0.2116
0.0171 0.2531 0.0232
0.0627 0.9466 0.7699
0.0922 0.4849 0.7883
0.1346 0.1625 0.5559
0.1522 0.6958 0.5879
0.2057 0.3800 0.3420
0.2227 0.9087 0.3700
0.2956 0.1266 0.1576
0.3005 0.5907 0.1353
0.3477 0.8057 0.9166
0.3624 0.3371 0.9430
0.4195 0.0194 0.6996
0.4412 0.5548 0.7319
0.4912 0.2339 0.4838
0.5088 0.7661 0.5162
0.5588 0.4452 0.2681
0.5805 0.9806 0.3004
0.6376 0.6629 0.0570
0.6523 0.1943 0.0834
0.6995 0.4093 0.8647
0.7044 0.8734 0.8424
0.7773 0.0913 0.6300
0.7943 0.6200 0.6580
0.8478 0.3042 0.4121
0.8654 0.8375 0.4441
0.9078 0.5151 0.2117
0.9373 0.0534 0.2301
0.9829 0.7469 0.9768
```

Principal peaks in the range 10 to 80 degrees two-theta, by intensity:
| Position (°2θ) | intensity | index |
| --- | --- | --- |
| 18.8 | 100 | 0 1 1 |
| 45.0 | 71 | 2 0 -4 |
| 37.2 | 38 | 2 1 -3 |
| 65.9 | 19 | 5 0 -3 |
| 59.3 | 14 | 3 1 2 |
| 69.2 | 13 | 5 1 -2 |
| 65.0 | 13 | 1 0 5 |
| 38.8 | 12 | -3 2 1 |